# Tb2Pm7Tm2
Simulated X-ray diffraction stick pattern, a wavelength of 1.5418 Å. Input: a structure optimized by DFT (GGA-PBE).

Structural model:
Lattice parameters (Å, degrees): 6.9556 6.9556 8.1982 101.67 101.67 78.18
Atoms (fractional coordinates):
Tb 0.0484 0.0484 0.3095
Tb 0.9516 0.9516 0.6905
Pm 0.0237 0.4191 0.6805
Pm 0.2353 0.2353 0.0516
Pm 0.4191 0.0237 0.6805
Pm 0.5000 0.5000 0.5000
Pm 0.5809 0.9763 0.3195
Pm 0.7647 0.7647 0.9484
Pm 0.9763 0.5809 0.3195
Tm 0.2916 0.7084 0.0000
Tm 0.7084 0.2916 0.0000

Top 10 peaks for 2θ = 10–90°, most intense first:
| Position (°2θ) | Rel. int. |
| --- | --- |
| 30.6 | 1000 |
| 31.9 | 573 |
| 34.4 | 525 |
| 33.0 | 428 |
| 31.2 | 385 |
| 28.0 | 362 |
| 27.1 | 339 |
| 34.0 | 316 |
| 52.7 | 219 |
| 54.8 | 182 |

# TbPm7Tm3
Simulated X-ray diffraction stick pattern, a wavelength of 1.5418 Å. Input: a structure optimized by DFT (GGA-PBE).

Structural model:
Lattice parameters (Å, degrees): 7.1544 7.1544 8.6310 90.00 90.00 120.00
Atoms (fractional coordinates):
Tb 0.0000 0.0000 0.0000
Pm 0.0015 0.5008 0.9864
Pm 0.3317 0.1658 0.3347
Pm 0.3333 0.6667 0.3198
Pm 0.4992 0.5008 0.9864
Pm 0.4992 0.9985 0.9864
Pm 0.8342 0.1658 0.3347
Pm 0.8342 0.6683 0.3347
Tm 0.1662 0.3323 0.6616
Tm 0.1662 0.8338 0.6616
Tm 0.6677 0.8338 0.6616

Top 10 peaks for 2θ = 10–90°, most intense first:
| Position (°2θ) | Rel. int. |
| --- | --- |
| 30.7 | 1000 |
| 35.7 | 663 |
| 31.1 | 316 |
| 61.0 | 279 |
| 51.1 | 241 |
| 51.6 | 230 |
| 60.7 | 143 |
| 61.5 | 133 |
| 63.8 | 122 |
| 83.3 | 119 |

# Tb6Pm2Tm5
Simulated X-ray diffraction stick pattern, a wavelength of 1.5418 Å. Input: a structure optimized by DFT (GGA-PBE).

Structural model:
Lattice parameters (Å, degrees): 11.6523 20.0818 3.5791 90.00 90.00 90.00
Atoms (fractional coordinates):
Tb 0.0585 0.0785 0.0000
Tb 0.0816 0.3660 0.0000
Tb 0.1755 0.6275 0.5000
Tb 0.3245 0.1275 0.5000
Tb 0.4184 0.8660 0.0000
Tb 0.4415 0.5785 0.0000
Tb 0.5585 0.4215 0.0000
Tb 0.5816 0.1340 0.0000
Tb 0.6755 0.8725 0.5000
Tb 0.8245 0.3725 0.5000
Tb 0.9184 0.6340 0.0000
Tb 0.9415 0.9215 0.0000
Pm 0.1648 0.7853 0.0000
Pm 0.3352 0.2853 0.0000
Pm 0.6648 0.7147 0.0000
Pm 0.8352 0.2147 0.0000
Tm 0.0000 0.5000 0.5000
Tm 0.0951 0.2230 0.5000
Tm 0.1988 0.9480 0.5000
Tm 0.3012 0.4480 0.5000
Tm 0.4049 0.7230 0.5000
Tm 0.5000 0.0000 0.5000
Tm 0.5951 0.2770 0.5000
Tm 0.6988 0.5520 0.5000
Tm 0.8012 0.0520 0.5000
Tm 0.9049 0.7770 0.5000

Top 10 peaks for 2θ = 10–90°, most intense first:
| Position (°2θ) | Rel. int. |
| --- | --- |
| 32.3 | 1000 |
| 32.1 | 604 |
| 31.0 | 521 |
| 31.6 | 458 |
| 32.0 | 378 |
| 34.4 | 366 |
| 61.6 | 306 |
| 36.7 | 274 |
| 30.7 | 234 |
| 51.0 | 215 |

# Tb5PmTm3
Simulated X-ray diffraction stick pattern, a wavelength of 1.5418 Å. Input: a structure optimized by DFT (GGA-PBE).

Structural model:
Lattice parameters (Å, degrees): 10.2930 10.2930 10.2930 140.33 70.85 123.94
Atoms (fractional coordinates):
Tb 0.1561 0.0746 0.0815
Tb 0.1778 0.5912 0.5865
Tb 0.1895 0.9395 0.2500
Tb 0.4931 0.0746 0.4185
Tb 0.4953 0.4088 0.0865
Tb 0.5047 0.5912 0.9135
Tb 0.5069 0.9254 0.5815
Tb 0.8105 0.0605 0.7500
Tb 0.8222 0.4088 0.4135
Tb 0.8439 0.9254 0.9185
Pm 0.1419 0.3919 0.7500
Pm 0.8581 0.6081 0.2500
Tm 0.1700 0.0000 0.6700
Tm 0.1700 0.5000 0.1700
Tm 0.5000 0.0000 0.0000
Tm 0.5000 0.5000 0.5000
Tm 0.8300 0.0000 0.3300
Tm 0.8300 0.5000 0.8300

Top 10 peaks for 2θ = 10–90°, most intense first:
| Position (°2θ) | Rel. int. |
| --- | --- |
| 32.0 | 1000 |
| 31.6 | 973 |
| 56.8 | 350 |
| 45.6 | 345 |
| 62.7 | 293 |
| 57.1 | 180 |
| 81.2 | 132 |
| 67.0 | 108 |
| 89.9 | 103 |
| 75.9 | 99 |

# Tb12PmTm2
Simulated X-ray diffraction stick pattern, a wavelength of 1.5418 Å. Input: a structure optimized by DFT (GGA-PBE).

Structural model:
Lattice parameters (Å, degrees): 6.6106 6.6106 24.4953 92.26 92.26 114.95
Atoms (fractional coordinates):
Tb 0.0373 0.5612 0.2021
Tb 0.0949 0.5657 0.3294
Tb 0.1471 0.1471 0.5891
Tb 0.1490 0.6312 0.5553
Tb 0.2187 0.2187 0.8685
Tb 0.2320 0.7331 0.9256
Tb 0.2669 0.7680 0.0744
Tb 0.2858 0.2858 0.1445
Tb 0.3400 0.3400 0.4333
Tb 0.3688 0.8510 0.4447
Tb 0.4343 0.9051 0.6706
Tb 0.4388 0.9627 0.7979
Tb 0.5612 0.0373 0.2021
Tb 0.5657 0.0949 0.3294
Tb 0.6312 0.1490 0.5553
Tb 0.6600 0.6600 0.5667
Tb 0.7142 0.7142 0.8555
Tb 0.7331 0.2320 0.9256
Tb 0.7680 0.2669 0.0744
Tb 0.7813 0.7813 0.1315
Tb 0.8510 0.3688 0.4447
Tb 0.8529 0.8529 0.4109
Tb 0.9051 0.4343 0.6706
Tb 0.9627 0.4388 0.7979
Pm 0.2517 0.2517 0.0054
Pm 0.7483 0.7483 0.9946
Tm 0.0564 0.0564 0.2702
Tm 0.4234 0.4234 0.7289
Tm 0.5766 0.5766 0.2711
Tm 0.9436 0.9436 0.7298

Top 10 peaks for 2θ = 10–90°, most intense first:
| Position (°2θ) | Rel. int. |
| --- | --- |
| 32.1 | 1000 |
| 32.5 | 1000 |
| 30.2 | 867 |
| 31.2 | 715 |
| 32.3 | 616 |
| 33.5 | 597 |
| 30.3 | 578 |
| 46.2 | 438 |
| 61.9 | 298 |
| 51.4 | 271 |

# Tb2Pm7Tm2
Simulated X-ray diffraction stick pattern, a wavelength of 1.5418 Å. Input: a structure optimized by DFT (GGA-PBE).

Structural model:
Lattice parameters (Å, degrees): 9.4406 9.4406 9.4406 145.25 63.49 128.66
Atoms (fractional coordinates):
Tb 0.2013 0.0000 0.2013
Tb 0.7987 0.0000 0.7987
Pm 0.0718 0.7042 0.3676
Pm 0.3367 0.7042 0.6324
Pm 0.3396 0.5022 0.8374
Pm 0.6616 0.2964 0.3652
Pm 0.6648 0.5022 0.1626
Pm 0.8002 0.8002 0.0000
Pm 0.9311 0.2964 0.6348
Tm 0.2165 0.2165 0.0000
Tm 0.5007 0.0007 0.5000

Top 10 peaks for 2θ = 10–90°, most intense first:
| Position (°2θ) | Rel. int. |
| --- | --- |
| 31.8 | 1000 |
| 29.4 | 223 |
| 56.6 | 173 |
| 32.1 | 139 |
| 33.3 | 94 |
| 61.0 | 93 |
| 33.5 | 90 |
| 63.6 | 90 |
| 62.3 | 87 |
| 52.1 | 76 |